# 1
# CaCe3Pa4N12
Theoretical powder XRD pattern, Cu Kα. Input: a GGA-PBE-relaxed structure.
Intensities are scaled so that the largest is 100.

Structural model:
Cell lengths 7.421, 7.421, 7.421 Å; angles 109.47, 109.47, 109.47 degrees
Positions (direct):
Ca: 0.000 0.000 0.000
Ce: 0.000 0.500 0.500
Ce: 0.500 0.000 0.500
Ce: 0.500 0.500 0.000
Pa: 0.000 0.000 0.500
Pa: 0.000 0.500 0.000
Pa: 0.500 0.000 0.000
Pa: 0.500 0.500 0.500
N: 0.118 0.308 0.810
N: 0.190 0.498 0.308
N: 0.190 0.882 0.692
N: 0.308 0.190 0.498
N: 0.308 0.810 0.118
N: 0.498 0.308 0.190
N: 0.502 0.692 0.810
N: 0.692 0.190 0.882
N: 0.692 0.810 0.502
N: 0.810 0.118 0.308
N: 0.810 0.502 0.692
N: 0.882 0.692 0.190

Peak list (6 most intense, 2θ = 10–80°, in order of rising 2θ)
2θ/deg  I/Imax
20.73  15
29.48  100
42.18  23
52.30  46
61.18  14
69.36  19

# 2
# CaCe2PuN4
Theoretical powder XRD pattern, Cu Kα. Input: a GGA-PBE-relaxed structure.
Intensities are scaled so that the largest is 100.

Structural model:
Cell lengths 7.079, 7.079, 7.079 Å; angles 119.89, 119.77, 90.29 degrees
Positions (direct):
Ca: 0.000 0.000 0.000
Ca: 0.500 0.000 0.500
Ce: 0.000 0.500 0.500
Ce: 0.500 0.000 0.000
Ce: 0.500 0.500 0.000
Ce: 0.500 0.500 0.500
Pu: 0.000 0.000 0.500
Pu: 0.000 0.500 0.000
N: 0.240 0.746 0.494
N: 0.247 0.262 0.515
N: 0.247 0.733 0.985
N: 0.248 0.254 0.994
N: 0.752 0.746 0.006
N: 0.753 0.267 0.015
N: 0.753 0.738 0.485
N: 0.760 0.254 0.506

Peak list (6 most intense, 2θ = 10–80°, in order of rising 2θ)
2θ/deg  I/Imax
15.32  20
30.92  100
35.79  51
35.97  25
51.65  35
61.29  30

# 3
# CaCePu2N4
Theoretical powder XRD pattern, Cu Kα. Input: a GGA-PBE-relaxed structure.
Intensities are scaled so that the largest is 100.

Structural model:
Cell lengths 6.064, 3.523, 6.084 Å; angles 90.00, 109.54, 90.00 degrees
Positions (direct):
Ca: 0.000 0.000 0.000
Ce: 0.000 0.500 0.500
Pu: 0.500 0.000 0.500
Pu: 0.500 0.500 0.000
N: 0.266 0.000 0.750
N: 0.278 0.500 0.266
N: 0.722 0.500 0.734
N: 0.734 0.000 0.250

Peak list (6 most intense, 2θ = 10–80°, in order of rising 2θ)
2θ/deg  I/Imax
15.50  46
29.79  27
31.16  100
31.30  33
36.17  95
52.18  33

# 4
# Ca3Ce3SbN8
Theoretical powder XRD pattern, Cu Kα. Input: a GGA-PBE-relaxed structure.
Intensities are scaled so that the largest is 100.

Structural model:
Cell lengths 7.007, 7.007, 7.007 Å; angles 59.79, 59.79, 59.79 degrees
Positions (direct):
Ca: 0.000 0.500 0.500
Ca: 0.500 0.000 0.500
Ca: 0.500 0.500 0.000
Ce: 0.000 0.000 0.500
Ce: 0.000 0.500 0.000
Ce: 0.500 0.000 0.000
Sb: 0.500 0.500 0.500
N: 0.240 0.240 0.240
N: 0.265 0.722 0.722
N: 0.278 0.278 0.735
N: 0.278 0.735 0.278
N: 0.722 0.265 0.722
N: 0.722 0.722 0.265
N: 0.735 0.278 0.278
N: 0.760 0.760 0.760

Peak list (6 most intense, 2θ = 10–80°, in order of rising 2θ)
2θ/deg  I/Imax
15.46  91
30.00  46
31.35  79
36.32  100
52.40  33
62.29  36

# 5
# Ca3Ce2SmN6
Theoretical powder XRD pattern, Cu Kα. Input: a GGA-PBE-relaxed structure.
Intensities are scaled so that the largest is 100.

Structural model:
Cell lengths 6.189, 6.189, 6.116 Å; angles 99.69, 99.69, 120.02 degrees
Positions (direct):
Ca: 0.000 0.000 0.000
Ca: 0.333 0.667 0.000
Ca: 0.667 0.333 0.000
Ce: 0.167 0.833 0.500
Ce: 0.833 0.167 0.500
Sm: 0.500 0.500 0.500
N: 0.081 0.425 0.275
N: 0.232 0.232 0.726
N: 0.425 0.081 0.275
N: 0.575 0.919 0.725
N: 0.768 0.768 0.274
N: 0.919 0.575 0.725

Peak list (6 most intense, 2θ = 10–80°, in order of rising 2θ)
2θ/deg  I/Imax
15.38  62
29.33  36
30.69  83
35.70  100
51.13  34
51.61  32

# 6
# CaCeSmN3
Theoretical powder XRD pattern, Cu Kα. Input: a GGA-PBE-relaxed structure.
Intensities are scaled so that the largest is 100.

Structural model:
Cell lengths 6.087, 3.413, 9.497 Å; angles 90.00, 92.91, 90.00 degrees
Positions (direct):
Ca: 0.235 0.250 0.438
Ca: 0.765 0.750 0.562
Ce: 0.280 0.750 0.757
Ce: 0.720 0.250 0.243
Sm: 0.193 0.750 0.118
Sm: 0.807 0.250 0.882
N: 0.034 0.250 0.666
N: 0.218 0.250 0.957
N: 0.482 0.750 0.315
N: 0.518 0.250 0.685
N: 0.782 0.750 0.043
N: 0.966 0.750 0.334

Peak list (6 most intense, 2θ = 10–80°, in order of rising 2θ)
2θ/deg  I/Imax
29.38  81
30.03  100
31.23  69
31.74  70
32.58  77
35.20  68

# 7
# Ca4Ce3TcN8
Theoretical powder XRD pattern, Cu Kα. Input: a GGA-PBE-relaxed structure.
Intensities are scaled so that the largest is 100.

Structural model:
Cell lengths 6.936, 6.936, 6.936 Å; angles 59.89, 59.89, 59.89 degrees
Positions (direct):
Ca: 0.000 0.000 0.000
Ca: 0.000 0.500 0.500
Ca: 0.500 0.000 0.500
Ca: 0.500 0.500 0.000
Ce: 0.000 0.000 0.500
Ce: 0.000 0.500 0.000
Ce: 0.500 0.000 0.000
Tc: 0.500 0.500 0.500
N: 0.241 0.241 0.241
N: 0.257 0.731 0.731
N: 0.269 0.269 0.743
N: 0.269 0.743 0.269
N: 0.731 0.257 0.731
N: 0.731 0.731 0.257
N: 0.743 0.269 0.269
N: 0.759 0.759 0.759

Peak list (6 most intense, 2θ = 10–80°, in order of rising 2θ)
2θ/deg  I/Imax
15.63  55
30.27  30
31.62  100
36.68  93
52.84  60
62.88  33

# 8
# Na3CaCe3O8
Theoretical powder XRD pattern, Cu Kα. Input: a GGA-PBE-relaxed structure.
Intensities are scaled so that the largest is 100.

Structural model:
Cell lengths 6.894, 6.894, 6.894 Å; angles 61.79, 61.79, 61.79 degrees
Positions (direct):
Na: 0.000 0.500 0.500
Na: 0.500 0.000 0.500
Na: 0.500 0.500 0.000
Ca: 0.500 0.500 0.500
Ce: 0.000 0.000 0.500
Ce: 0.000 0.500 0.000
Ce: 0.500 0.000 0.000
O: 0.225 0.735 0.735
O: 0.240 0.240 0.240
O: 0.265 0.265 0.775
O: 0.265 0.775 0.265
O: 0.735 0.225 0.735
O: 0.735 0.735 0.225
O: 0.760 0.760 0.760
O: 0.775 0.265 0.265

Peak list (6 most intense, 2θ = 10–80°, in order of rising 2θ)
2θ/deg  I/Imax
15.96  100
29.63  50
31.09  51
36.39  89
51.64  32
53.18  26

# 9
# Na2Ca3CeO6
Theoretical powder XRD pattern, Cu Kα. Input: a GGA-PBE-relaxed structure.
Intensities are scaled so that the largest is 100.

Structural model:
Cell lengths 5.929, 5.929, 5.918 Å; angles 99.61, 99.61, 119.87 degrees
Positions (direct):
Na: 0.166 0.834 0.000
Na: 0.834 0.166 0.000
Ca: 0.000 0.000 0.500
Ca: 0.327 0.673 0.500
Ca: 0.673 0.327 0.500
Ce: 0.500 0.500 0.000
O: 0.106 0.414 0.743
O: 0.281 0.281 0.248
O: 0.414 0.106 0.743
O: 0.586 0.894 0.257
O: 0.719 0.719 0.752
O: 0.894 0.586 0.257

Peak list (6 most intense, 2θ = 10–80°, in order of rising 2θ)
2θ/deg  I/Imax
18.04  36
20.28  28
32.05  41
37.15  100
53.49  31
53.61  31

# 10
# CaCeNb2O8
Theoretical powder XRD pattern, Cu Kα. Input: a GGA-PBE-relaxed structure.
Intensities are scaled so that the largest is 100.

Structural model:
Cell lengths 6.738, 6.738, 6.738 Å; angles 133.67, 133.67, 67.61 degrees
Positions (direct):
Ca: 0.000 0.000 0.000
Ce: 0.250 0.750 0.500
Nb: 0.500 0.500 0.000
Nb: 0.750 0.250 0.500
O: 0.019 0.089 0.433
O: 0.236 0.654 0.075
O: 0.346 0.421 0.582
O: 0.414 0.981 0.070
O: 0.579 0.160 0.925
O: 0.656 0.586 0.567
O: 0.840 0.764 0.418
O: 0.911 0.344 0.930

Peak list (6 most intense, 2θ = 10–80°, in order of rising 2θ)
2θ/deg  I/Imax
28.66  100
33.81  16
47.22  33
48.57  16
54.96  15
57.37  27

# 11
# CaCe3Ni8
Theoretical powder XRD pattern, Cu Kα. Input: a GGA-PBE-relaxed structure.
Intensities are scaled so that the largest is 100.

Structural model:
Cell lengths 8.803, 8.803, 8.803 Å; angles 33.56, 33.56, 33.56 degrees
Positions (direct):
Ca: 0.000 0.000 0.000
Ce: 0.125 0.125 0.125
Ce: 0.498 0.498 0.498
Ce: 0.623 0.623 0.623
Ni: 0.062 0.062 0.563
Ni: 0.062 0.562 0.562
Ni: 0.062 0.563 0.062
Ni: 0.312 0.312 0.312
Ni: 0.562 0.062 0.562
Ni: 0.562 0.562 0.062
Ni: 0.563 0.062 0.062
Ni: 0.812 0.812 0.812

Peak list (6 most intense, 2θ = 10–80°, in order of rising 2θ)
2θ/deg  I/Imax
35.32  48
41.67  100
43.62  23
63.39  17
67.73  30
74.70  23

# 12
# CaCePa2O8
Theoretical powder XRD pattern, Cu Kα. Input: a GGA-PBE-relaxed structure.
Intensities are scaled so that the largest is 100.

Structural model:
Cell lengths 6.623, 6.623, 6.623 Å; angles 131.56, 131.56, 70.92 degrees
Positions (direct):
Ca: 0.000 0.000 0.000
Ce: 0.750 0.250 0.500
Pa: 0.250 0.750 0.500
Pa: 0.500 0.500 0.000
O: 0.137 0.128 0.519
O: 0.137 0.618 0.009
O: 0.382 0.391 0.519
O: 0.382 0.863 0.991
O: 0.609 0.128 0.991
O: 0.609 0.618 0.481
O: 0.872 0.391 0.009
O: 0.872 0.863 0.481

Peak list (6 most intense, 2θ = 10–80°, in order of rising 2θ)
2θ/deg  I/Imax
18.28  30
28.52  100
32.97  21
47.32  18
47.50  35
56.18  31

# 13
# CaCePt2O8
Theoretical powder XRD pattern, Cu Kα. Input: a GGA-PBE-relaxed structure.
Intensities are scaled so that the largest is 100.

Structural model:
Cell lengths 6.354, 6.354, 6.354 Å; angles 131.05, 131.05, 71.73 degrees
Positions (direct):
Ca: 0.000 0.000 0.000
Ce: 0.250 0.750 0.500
Pt: 0.500 0.500 0.000
Pt: 0.750 0.250 0.500
O: 0.126 0.151 0.529
O: 0.126 0.597 0.975
O: 0.403 0.378 0.529
O: 0.403 0.874 0.025
O: 0.622 0.151 0.025
O: 0.622 0.597 0.471
O: 0.849 0.378 0.975
O: 0.849 0.874 0.471

Peak list (6 most intense, 2θ = 10–80°, in order of rising 2θ)
2θ/deg  I/Imax
18.93  26
29.61  100
34.06  20
48.94  18
49.52  35
58.24  30